Diffraction record for Ba2YCr2F11. The X-ray powder pattern is theoretical, not measured: it uses a PBE+U-relaxed structure and Cu Kα X-rays.

Atomic structure:
abc: 7.9671 7.9671 13.7648
angles: 90.00 90.00 120.00
Sites, in units of the cell vectors:
Ba: 0.0128 0.1403 0.0000
Ba: 0.1275 0.9872 0.3333
Ba: 0.2174 0.5115 0.5336
Ba: 0.2940 0.7826 0.8669
Ba: 0.4885 0.7060 0.2003
Ba: 0.8597 0.8725 0.6667
Y: 0.5653 0.2153 0.0944
Y: 0.6499 0.4347 0.4278
Y: 0.7847 0.3501 0.7611
Cr: 0.0545 0.7210 0.0989
Cr: 0.2790 0.3335 0.7656
Cr: 0.4027 0.0579 0.5918
Cr: 0.6553 0.5973 0.9251
Cr: 0.6665 0.9455 0.4322
Cr: 0.9421 0.3447 0.2584
F: 0.9998 0.3731 0.8659
F: 0.0092 0.6534 0.7329
F: 0.0945 0.6376 0.2348
F: 0.1312 0.0632 0.8177
F: 0.1455 0.8367 0.5465
F: 0.1633 0.3088 0.2132
F: 0.2503 0.6540 0.0473
F: 0.2697 0.2118 0.6299
F: 0.2958 0.0489 0.0112
F: 0.3460 0.5962 0.7140
F: 0.3466 0.3558 0.3996
F: 0.3624 0.4569 0.9014
F: 0.3734 0.0002 0.1993
F: 0.4038 0.7497 0.3807
F: 0.4858 0.1165 0.4259
F: 0.5170 0.0699 0.7502
F: 0.5431 0.9055 0.5681
F: 0.5529 0.4830 0.0835
F: 0.6269 0.6266 0.5326
F: 0.6306 0.5142 0.7593
F: 0.6442 0.9908 0.0663
F: 0.6499 0.3288 0.9251
F: 0.6712 0.3211 0.5917
F: 0.6789 0.3501 0.2584
F: 0.6912 0.8545 0.8798
F: 0.7530 0.7042 0.3445
F: 0.7882 0.0579 0.2965
F: 0.8835 0.3694 0.0926
F: 0.9301 0.4471 0.4168
F: 0.9320 0.8688 0.1510
F: 0.9368 0.0680 0.4844
F: 0.9421 0.7303 0.9632
F: 0.9511 0.2470 0.6778

Peak list (10 most intense, 10° ≤ 2θ ≤ 80°, sorted by position)
hkl	2theta	d [Å]	intensity
1 0 3	23.3	3.822	100
1 1 2	25.8	3.448	50
0 2 1	26.6	3.346	68
2 0 2	29.0	3.082	66
2 1 2	36.9	2.438	43
0 3 1	39.8	2.267	37
0 1 6	41.4	2.179	56
3 -2 4	43.5	2.078	33
4 -3 1	48.0	1.894	40
5 -2 3	62.0	1.496	28